1.
Structure and calculated powder X-ray diffraction pattern of Ho3Si5 (a structure optimized by DFT (GGA-PBE); λ = 1.5418 Å (Cu Kα)).
No peak broadening, texture or thermal motion is included.

Largest 12 diffraction maxima, by intensity, 2θ = 15–90°:
2θ 34.9, intensity 100; 2θ 27.3, intensity 54; 2θ 21.3, intensity 22; 2θ 48.2, intensity 21; 2θ 52.1, intensity 19; 2θ 66.9, intensity 16; 2θ 60.9, intensity 16; 2θ 81.2, intensity 13; 2θ 53.3, intensity 13; 2θ 43.4, intensity 12; 2θ 74.2, intensity 11; 2θ 56.3, intensity 8

Structure:
```
Ho3Si5
1.0
6.5399 0.0000 0.0000
-3.2700 5.6637 0.0000
0.0000 0.0000 4.1657
Ho Si
3 5
Cartesian
-2.1081 3.6513 0.0000 Ho
1.1619 2.0124 0.0000 Ho
4.2162 0.0000 0.0000 Ho
-0.8638 1.4962 2.0829 Si
1.7277 0.0000 2.0829 Si
0.0000 3.7758 2.0829 Si
3.2700 1.8879 2.0829 Si
2.4061 4.1675 2.0829 Si
```

=====

2.
Structure and calculated powder X-ray diffraction pattern of SmHoTa2Si2 (a structure optimized by DFT (GGA-PBE); λ = 1.5418 Å (Cu Kα)).
No peak broadening, texture or thermal motion is included.

Largest 12 diffraction maxima, by intensity, 2θ = 15–90°:
2θ 33.6, intensity 100; 2θ 39.2, intensity 56; 2θ 45.2, intensity 40; 2θ 31.9, intensity 38; 2θ 34.2, intensity 33; 2θ 57.9, intensity 29; 2θ 24.9, intensity 27; 2θ 57.0, intensity 25; 2θ 76.0, intensity 19; 2θ 56.4, intensity 15; 2θ 79.4, intensity 15; 2θ 76.4, intensity 14

Structure:
```
SmHoTa2Si2
1.0
4.0087 0.0000 0.0000
0.0000 4.0087 0.0000
0.0000 0.0000 7.8609
Sm Ho Ta Si
1 1 2 2
Cartesian
0.0000 0.0000 0.0000 Sm
2.0044 2.0044 2.3132 Ho
0.0000 2.0044 5.0454 Ta
2.0044 0.0000 5.0454 Ta
0.0000 0.0000 3.1894 Si
2.0044 2.0044 6.8935 Si
```

=====

3.
Structure and calculated powder X-ray diffraction pattern of TbHoSi2Sn2 (a structure optimized by DFT (GGA-PBE); λ = 1.5418 Å (Cu Kα)).
No peak broadening, texture or thermal motion is included.

Largest 12 diffraction maxima, by intensity, 2θ = 15–90°:
2θ 35.0, intensity 100; 2θ 25.0, intensity 28; 2θ 32.7, intensity 24; 2θ 34.4, intensity 22; 2θ 21.5, intensity 18; 2θ 42.3, intensity 16; 2θ 45.9, intensity 13; 2θ 59.9, intensity 13; 2θ 72.6, intensity 12; 2θ 54.5, intensity 12; 2θ 50.1, intensity 11; 2θ 77.9, intensity 10

Structure:
```
TbHoSi2Sn2
1.0
3.9512 0.0000 0.0000
0.0000 4.2762 0.0000
0.0000 0.0000 16.4234
Tb Ho Si Sn
2 2 4 4
Cartesian
0.0000 0.0000 0.0000 Tb
0.0000 2.1381 8.2117 Tb
1.9756 0.0000 3.0738 Ho
1.9756 2.1381 11.2855 Ho
0.0000 0.0000 10.5270 Si
0.0000 2.1381 2.3153 Si
1.9756 0.0000 9.0217 Si
1.9756 2.1381 0.8100 Si
0.0000 0.0000 5.7672 Sn
0.0000 2.1381 13.9789 Sn
1.9756 0.0000 13.7026 Sn
1.9756 2.1381 5.4909 Sn
```

=====

4.
Structure and calculated powder X-ray diffraction pattern of HoTmSi2Sn2 (a structure optimized by DFT (GGA-PBE); λ = 1.5418 Å (Cu Kα)).
No peak broadening, texture or thermal motion is included.

Largest 12 diffraction maxima, by intensity, 2θ = 15–90°:
2θ 35.2, intensity 100; 2θ 25.1, intensity 28; 2θ 33.2, intensity 24; 2θ 34.8, intensity 21; 2θ 21.6, intensity 19; 2θ 42.4, intensity 16; 2θ 72.9, intensity 14; 2θ 60.6, intensity 13; 2θ 46.1, intensity 13; 2θ 54.9, intensity 12; 2θ 50.7, intensity 10; 2θ 78.2, intensity 10

Structure:
```
HoTmSi2Sn2
1.0
3.9403 0.0000 0.0000
0.0000 4.2620 0.0000
0.0000 0.0000 16.2071
Ho Tm Si Sn
2 2 4 4
Cartesian
0.0000 0.0000 0.0000 Ho
0.0000 2.1310 8.1035 Ho
1.9702 0.0000 13.1873 Tm
1.9702 2.1310 5.0838 Tm
0.0000 0.0000 5.8105 Si
0.0000 2.1310 13.9140 Si
1.9702 0.0000 7.3280 Si
1.9702 2.1310 15.4315 Si
0.0000 0.0000 10.5311 Sn
0.0000 2.1310 2.4276 Sn
1.9702 0.0000 2.6823 Sn
1.9702 2.1310 10.7858 Sn
```